# 1
Starting from a structure optimized by DFT (PBE), the powder XRD pattern of Ac5SmZn6 was simulated for CuKα.

Atomic structure:
Lattice parameters (Å, degrees): 9.461 9.461 5.466 106.76 106.76 120.04
Atoms (fractional coordinates):
Ac 0.000 0.000 0.000
Ac 0.166 0.834 0.500
Ac 0.331 0.669 0.000
Ac 0.669 0.331 0.000
Ac 0.834 0.166 0.500
Sm 0.500 0.500 0.500
Zn 0.099 0.420 0.260
Zn 0.268 0.268 0.769
Zn 0.420 0.099 0.260
Zn 0.580 0.901 0.740
Zn 0.732 0.732 0.231
Zn 0.901 0.580 0.740

Top 8 peaks for 2θ = 10–80°, most intense first:
| 2theta | Rel. int. |
| --- | --- |
| 32.79 | 100 |
| 58.53 | 38 |
| 23.02 | 29 |
| 47.05 | 18 |
| 53.01 | 14 |
| 78.25 | 13 |
| 68.73 | 12 |
| 40.45 | 9 |

***

# 2
Starting from a structure optimized by DFT (PBE), the powder XRD pattern of LiCd2Cl5 was simulated for CuKα.

Atomic structure:
Lattice parameters (Å, degrees): 10.641 11.264 7.889 90.00 90.00 90.00
Atoms (fractional coordinates):
Li 0.245 0.237 0.000
Li 0.255 0.737 0.500
Li 0.745 0.263 0.500
Li 0.755 0.763 0.000
Cd 0.000 0.500 0.246
Cd 0.000 0.500 0.754
Cd 0.135 0.126 0.500
Cd 0.365 0.626 0.000
Cd 0.500 0.000 0.254
Cd 0.500 0.000 0.746
Cd 0.635 0.374 0.000
Cd 0.865 0.874 0.500
Cl 0.059 0.352 0.000
Cl 0.092 0.367 0.500
Cl 0.102 0.887 0.500
Cl 0.228 0.613 0.260
Cl 0.228 0.613 0.740
Cl 0.272 0.113 0.240
Cl 0.272 0.113 0.760
Cl 0.398 0.387 0.000
Cl 0.408 0.867 0.000
Cl 0.441 0.852 0.500
Cl 0.559 0.148 0.500
Cl 0.592 0.133 0.000
Cl 0.602 0.613 0.000
Cl 0.728 0.887 0.240
Cl 0.728 0.887 0.760
Cl 0.772 0.387 0.260
Cl 0.772 0.387 0.740
Cl 0.898 0.113 0.500
Cl 0.908 0.633 0.500
Cl 0.941 0.648 0.000

Top 8 peaks for 2θ = 10–80°, most intense first:
| 2theta | Rel. int. |
| --- | --- |
| 11.44 | 100 |
| 25.35 | 97 |
| 13.70 | 94 |
| 13.97 | 82 |
| 40.92 | 74 |
| 26.33 | 73 |
| 27.59 | 69 |
| 41.87 | 54 |

***

# 3
Starting from a structure optimized by DFT (PBE), the powder XRD pattern of Li3UF8 was simulated for CuKα.

Atomic structure:
Lattice parameters (Å, degrees): 5.199 5.199 5.199 90.00 90.00 90.00
Atoms (fractional coordinates):
Li 0.000 0.000 0.500
Li 0.000 0.500 0.000
Li 0.500 0.000 0.000
U 0.500 0.500 0.500
F 0.256 0.256 0.256
F 0.256 0.256 0.744
F 0.256 0.744 0.256
F 0.256 0.744 0.744
F 0.744 0.256 0.256
F 0.744 0.256 0.744
F 0.744 0.744 0.256
F 0.744 0.744 0.744

Top 8 peaks for 2θ = 10–80°, most intense first:
| 2theta | Rel. int. |
| --- | --- |
| 17.05 | 100 |
| 24.21 | 85 |
| 38.73 | 49 |
| 29.76 | 41 |
| 42.60 | 40 |
| 49.59 | 38 |
| 52.83 | 27 |
| 67.40 | 22 |

***

# 4
Starting from a structure optimized by DFT (PBE), the powder XRD pattern of YZn10Ga2 was simulated for CuKα.

Atomic structure:
Lattice parameters (Å, degrees): 8.734 6.837 6.727 80.17 50.47 49.36
Atoms (fractional coordinates):
Y 0.000 0.000 0.000
Zn 0.000 0.500 0.000
Zn 0.003 0.354 0.646
Zn 0.283 0.497 0.503
Zn 0.354 0.003 0.997
Zn 0.497 0.283 0.717
Zn 0.500 0.000 0.500
Zn 0.503 0.717 0.283
Zn 0.646 0.997 0.003
Zn 0.717 0.503 0.497
Zn 0.997 0.646 0.354
Ga 0.000 0.000 0.500
Ga 0.500 0.500 0.000

Top 8 peaks for 2θ = 10–80°, most intense first:
| 2theta | Rel. int. |
| --- | --- |
| 38.16 | 100 |
| 41.36 | 65 |
| 40.25 | 56 |
| 40.90 | 51 |
| 34.73 | 49 |
| 43.82 | 39 |
| 43.41 | 39 |
| 73.29 | 28 |

***

# 5
Starting from a structure optimized by DFT (PBE), the powder XRD pattern of CdF was simulated for CuKα.

Atomic structure:
Lattice parameters (Å, degrees): 3.739 3.236 5.769 90.00 108.90 90.00
Atoms (fractional coordinates):
Cd 0.110 0.250 0.218
Cd 0.890 0.750 0.782
F 0.318 0.250 0.635
F 0.682 0.750 0.365

Top 8 peaks for 2θ = 10–80°, most intense first:
| 2theta | Rel. int. |
| --- | --- |
| 25.18 | 100 |
| 37.68 | 87 |
| 32.16 | 78 |
| 44.63 | 60 |
| 32.82 | 46 |
| 48.27 | 40 |
| 59.58 | 27 |
| 48.71 | 22 |

***

# 6
Starting from a structure optimized by DFT (PBE), the powder XRD pattern of KPdS4 was simulated for CuKα.

Atomic structure:
Lattice parameters (Å, degrees): 7.761 7.761 7.761 117.25 117.25 94.83
Atoms (fractional coordinates):
K 0.375 0.125 0.250
K 0.625 0.875 0.750
Pd 0.125 0.375 0.750
Pd 0.875 0.625 0.250
S 0.029 0.949 0.320
S 0.129 0.709 0.180
S 0.209 0.529 0.580
S 0.449 0.629 0.920
S 0.551 0.371 0.080
S 0.791 0.471 0.420
S 0.871 0.291 0.820
S 0.971 0.051 0.680

Top 8 peaks for 2θ = 10–80°, most intense first:
| 2theta | Rel. int. |
| --- | --- |
| 22.00 | 100 |
| 13.83 | 88 |
| 39.21 | 49 |
| 40.99 | 25 |
| 31.31 | 22 |
| 23.00 | 19 |
| 61.08 | 19 |
| 51.01 | 15 |